# 1
Calculated powder diffractogram
Compound: KTiTl
Radiation: Cu Ka
Structure: the PBE geometry in Alexandria
Kinematic intensities with the Lorentz-polarization factor, no thermal factor.

Crystal structure
Cell: 3.350 3.767 14.314 Å, 82.77 84.06 90.00°
Element x y z (fractional)
K (0.095, 0.083, 0.349)
K (0.905, 0.917, 0.651)
Ti (0.228, 0.226, 0.049)
Ti (0.772, 0.774, 0.951)
Tl (0.324, 0.330, 0.833)
Tl (0.676, 0.670, 0.167)

Most intense lines, 10 to 90 degrees two-theta, most intense first:
2theta, Rel. int.
35.9, 100
28.4, 50
25.5, 50
25.4, 49
18.9, 49
12.5, 39
28.2, 37
38.2, 31


# 2
Calculated powder diffractogram
Compound: KTl2
Radiation: Cu Ka
Structure: the PBE geometry in Alexandria
Kinematic intensities with the Lorentz-polarization factor, no thermal factor.

Crystal structure
Cell: 6.897 6.897 6.897 Å, 134.80 102.30 94.72°
Element x y z (fractional)
K (0.309, 0.059, 0.250)
K (0.691, 0.941, 0.750)
Tl (0.097, 0.661, 0.435)
Tl (0.274, 0.339, 0.935)
Tl (0.726, 0.661, 0.065)
Tl (0.903, 0.339, 0.565)

Most intense lines, 10 to 90 degrees two-theta, most intense first:
2theta, Rel. int.
33.4, 100
32.5, 69
40.5, 66
19.3, 65
13.9, 64
28.3, 60
27.5, 55
33.8, 54


# 3
Calculated powder diffractogram
Compound: KTl2
Radiation: Cu Ka
Structure: the PBE geometry in Alexandria
Kinematic intensities with the Lorentz-polarization factor, no thermal factor.

Crystal structure
Cell: 7.355 5.290 10.643 Å, 90.00 90.00 90.00°
Element x y z (fractional)
K (0.135, 0.250, 0.085)
K (0.365, 0.750, 0.585)
K (0.635, 0.250, 0.415)
K (0.865, 0.750, 0.915)
Tl (0.081, 0.250, 0.729)
Tl (0.123, 0.250, 0.417)
Tl (0.377, 0.750, 0.917)
Tl (0.419, 0.750, 0.229)
Tl (0.581, 0.250, 0.771)
Tl (0.623, 0.250, 0.083)
Tl (0.877, 0.750, 0.583)
Tl (0.919, 0.750, 0.271)

Most intense lines, 10 to 90 degrees two-theta, most intense first:
2theta, Rel. int.
29.6, 100
30.3, 95
35.1, 56
49.6, 50
14.6, 44
33.9, 38
22.3, 25
60.5, 19


# 4
Calculated powder diffractogram
Compound: KTl3
Radiation: Cu Ka
Structure: the PBE geometry in Alexandria
Kinematic intensities with the Lorentz-polarization factor, no thermal factor.

Crystal structure
Cell: 5.286 6.954 7.554 Å, 90.00 90.00 90.00°
Element x y z (fractional)
K (0.250, 0.250, 0.100)
K (0.750, 0.750, 0.900)
Tl (0.250, 0.506, 0.625)
Tl (0.250, 0.750, 0.232)
Tl (0.250, 0.994, 0.625)
Tl (0.750, 0.006, 0.375)
Tl (0.750, 0.250, 0.768)
Tl (0.750, 0.494, 0.375)

Most intense lines, 10 to 90 degrees two-theta, most intense first:
2theta, Rel. int.
33.0, 100
29.1, 64
11.7, 56
33.9, 38
28.3, 34
39.1, 25
17.3, 25
64.1, 24


# 5
Calculated powder diffractogram
Compound: KTl3
Radiation: Cu Ka
Structure: the PBE geometry in Alexandria
Kinematic intensities with the Lorentz-polarization factor, no thermal factor.

Crystal structure
Cell: 3.514 5.110 7.670 Å, 90.00 102.18 90.00°
Element x y z (fractional)
K (0.000, 0.000, 0.000)
Tl (0.000, 0.000, 0.500)
Tl (0.403, 0.500, 0.715)
Tl (0.597, 0.500, 0.285)

Most intense lines, 10 to 90 degrees two-theta, most intense first:
2theta, Rel. int.
31.4, 100
29.6, 81
11.8, 54
35.1, 29
35.6, 28
53.6, 25
47.8, 24
40.2, 16


# 6
Calculated powder diffractogram
Compound: KTl2
Radiation: Cu Ka
Structure: the PBE geometry in Alexandria
Kinematic intensities with the Lorentz-polarization factor, no thermal factor.

Crystal structure
Cell: 3.793 3.793 8.341 Å, 90.00 90.00 120.00°
Element x y z (fractional)
K (0.000, 0.000, 0.000)
Tl (0.333, 0.667, 0.348)
Tl (0.667, 0.333, 0.652)

Most intense lines, 10 to 90 degrees two-theta, most intense first:
2theta, Rel. int.
29.2, 100
34.8, 72
10.6, 56
59.0, 24
48.0, 24
32.2, 22
51.9, 17
57.2, 15


# 7
Calculated powder diffractogram
Compound: KTl
Radiation: Cu Ka
Structure: the PBE geometry in Alexandria
Kinematic intensities with the Lorentz-polarization factor, no thermal factor.

Crystal structure
Cell: 11.018 11.018 8.120 Å, 90.00 90.00 88.96°
Element x y z (fractional)
K (0.028, 0.472, 0.750)
K (0.179, 0.179, 0.000)
K (0.202, 0.798, 0.927)
K (0.298, 0.702, 0.427)
K (0.321, 0.321, 0.500)
K (0.472, 0.028, 0.250)
K (0.528, 0.972, 0.750)
K (0.679, 0.679, 0.500)
K (0.702, 0.298, 0.573)
K (0.798, 0.202, 0.073)
K (0.821, 0.821, 0.000)
K (0.972, 0.528, 0.250)
Tl (0.009, 0.223, 0.428)
Tl (0.041, 0.959, 0.283)
Tl (0.223, 0.009, 0.572)
Tl (0.277, 0.491, 0.072)
Tl (0.459, 0.541, 0.783)
Tl (0.491, 0.277, 0.928)
Tl (0.509, 0.723, 0.072)
Tl (0.541, 0.459, 0.217)
Tl (0.723, 0.509, 0.928)
Tl (0.777, 0.991, 0.428)
Tl (0.959, 0.041, 0.717)
Tl (0.991, 0.777, 0.572)

Most intense lines, 10 to 90 degrees two-theta, most intense first:
2theta, Rel. int.
13.5, 100
11.5, 39
11.3, 37
35.2, 32
32.5, 31
31.7, 29
27.7, 28
31.5, 27


# 8
Calculated powder diffractogram
Compound: KTl2
Radiation: Cu Ka
Structure: the PBE geometry in Alexandria
Kinematic intensities with the Lorentz-polarization factor, no thermal factor.

Crystal structure
Cell: 7.220 7.220 7.220 Å, 148.16 148.16 45.65°
Element x y z (fractional)
K (0.000, 0.000, 0.000)
Tl (0.318, 0.318, 0.000)
Tl (0.682, 0.682, 0.000)

Most intense lines, 10 to 90 degrees two-theta, most intense first:
2theta, Rel. int.
30.3, 100
32.0, 47
13.3, 45
55.9, 36
40.8, 22
34.8, 19
45.8, 17
52.6, 17


# 9
Calculated powder diffractogram
Compound: KTl3
Radiation: Cu Ka
Structure: the PBE geometry in Alexandria
Kinematic intensities with the Lorentz-polarization factor, no thermal factor.

Crystal structure
Cell: 4.027 4.027 8.378 Å, 90.00 90.00 90.44°
Element x y z (fractional)
K (0.000, 0.000, 0.000)
Tl (0.000, 0.000, 0.500)
Tl (0.500, 0.500, 0.290)
Tl (0.500, 0.500, 0.710)

Most intense lines, 10 to 90 degrees two-theta, most intense first:
2theta, Rel. int.
30.8, 100
10.6, 54
39.3, 29
31.3, 28
31.5, 28
45.0, 21
55.4, 19
55.7, 19


# 10
Calculated powder diffractogram
Compound: K2Tl
Radiation: Cu Ka
Structure: the PBE geometry in Alexandria
Kinematic intensities with the Lorentz-polarization factor, no thermal factor.

Crystal structure
Cell: 6.412 6.412 3.627 Å, 90.00 90.00 120.00°
Element x y z (fractional)
K (0.333, 0.667, 0.000)
K (0.667, 0.333, 0.000)
Tl (0.000, 0.000, 0.500)

Most intense lines, 10 to 90 degrees two-theta, most intense first:
2theta, Rel. int.
29.4, 100
16.0, 88
27.8, 79
50.2, 50
40.9, 41
65.9, 20
79.8, 19
58.5, 19


# 11
Calculated powder diffractogram
Compound: K12Tl
Radiation: Cu Ka
Structure: the PBE geometry in Alexandria
Kinematic intensities with the Lorentz-polarization factor, no thermal factor.

Crystal structure
Cell: 10.346 10.346 10.346 Å, 109.47 109.47 109.47°
Element x y z (fractional)
K (0.130, 0.303, 0.826)
K (0.174, 0.477, 0.303)
K (0.174, 0.870, 0.697)
K (0.303, 0.174, 0.477)
K (0.303, 0.826, 0.130)
K (0.477, 0.303, 0.174)
K (0.523, 0.697, 0.826)
K (0.697, 0.174, 0.870)
K (0.697, 0.826, 0.523)
K (0.826, 0.130, 0.303)
K (0.826, 0.523, 0.697)
K (0.870, 0.697, 0.174)
Tl (0.000, 0.000, 0.000)

Most intense lines, 10 to 90 degrees two-theta, most intense first:
2theta, Rel. int.
27.9, 100
10.5, 91
23.5, 90
46.9, 39
25.8, 38
18.2, 29
38.4, 29
44.2, 26


# 12
Calculated powder diffractogram
Compound: K2Tl7
Radiation: Cu Ka
Structure: the PBE geometry in Alexandria
Kinematic intensities with the Lorentz-polarization factor, no thermal factor.

Crystal structure
Cell: 16.673 16.673 16.673 Å, 23.24 23.24 23.24°
Element x y z (fractional)
K (0.053, 0.053, 0.053)
K (0.150, 0.150, 0.150)
K (0.850, 0.850, 0.850)
K (0.947, 0.947, 0.947)
Tl (0.000, 0.500, 0.500)
Tl (0.108, 0.614, 0.614)
Tl (0.277, 0.277, 0.277)
Tl (0.386, 0.386, 0.892)
Tl (0.386, 0.892, 0.386)
Tl (0.391, 0.391, 0.391)
Tl (0.500, 0.000, 0.500)
Tl (0.500, 0.500, 0.000)
Tl (0.500, 0.500, 0.500)
Tl (0.609, 0.609, 0.609)
Tl (0.614, 0.108, 0.614)
Tl (0.614, 0.614, 0.108)
Tl (0.723, 0.723, 0.723)
Tl (0.892, 0.386, 0.386)

Most intense lines, 10 to 90 degrees two-theta, most intense first:
2theta, Rel. int.
31.4, 100
15.3, 80
34.2, 57
36.0, 42
33.1, 39
65.4, 35
54.7, 31
50.0, 28


# 13
Calculated powder diffractogram
Compound: K4Tl5
Radiation: Cu Ka
Structure: the PBE geometry in Alexandria
Kinematic intensities with the Lorentz-polarization factor, no thermal factor.

Crystal structure
Cell: 10.400 10.400 7.286 Å, 90.00 90.00 120.00°
Element x y z (fractional)
K (0.000, 0.000, 0.000)
K (0.000, 0.000, 0.500)
K (0.000, 0.345, 0.250)
K (0.000, 0.655, 0.750)
K (0.345, 0.000, 0.250)
K (0.345, 0.345, 0.750)
K (0.655, 0.000, 0.750)
K (0.655, 0.655, 0.250)
Tl (0.000, 0.335, 0.750)
Tl (0.000, 0.665, 0.250)
Tl (0.333, 0.667, 0.000)
Tl (0.333, 0.667, 0.500)
Tl (0.335, 0.000, 0.750)
Tl (0.335, 0.335, 0.250)
Tl (0.665, 0.000, 0.250)
Tl (0.665, 0.665, 0.750)
Tl (0.667, 0.333, 0.000)
Tl (0.667, 0.333, 0.500)

Most intense lines, 10 to 90 degrees two-theta, most intense first:
2theta, Rel. int.
29.8, 100
29.9, 94
21.0, 57
52.9, 38
42.7, 36
59.3, 28
52.8, 20
85.6, 20